Record 1
Rb5As3Au3: simulated powder XRD pattern (copper Kα), based on the PBE geometry in Alexandria.
Intensities are scaled so that the largest is 100.

Top 10 peaks for 2θ = 10–80°, in order of falling intensity:
| d [Å] | I_rel |
| --- | --- |
| 5.397 | 100 |
| 3.538 | 78 |
| 3.116 | 78 |
| 2.821 | 36 |
| 1.873 | 32 |
| 1.870 | 28 |
| 2.342 | 26 |
| 2.699 | 23 |
| 2.149 | 20 |
| 2.040 | 14 |

```
Rb5As3Au3
1.0
5.397 -9.348 0.000
5.397 9.348 0.000
-0.011 0.000 4.686
Rb As Au
5 3 3
Cartesian
0.000 0.000 0.000
4.119 2.378 0.001
4.119 -2.378 0.001
8.143 3.116 0.001
8.143 -3.116 0.001
6.086 5.805 4.686
6.837 0.000 0.003
6.086 -5.805 4.686
6.448 6.422 2.344
6.119 0.000 2.345
6.448 -6.422 2.344
```


Record 2
Na5B7C3: simulated powder XRD pattern (copper Kα), based on the PBE geometry in Alexandria.
Intensities are scaled so that the largest is 100.

Top 10 peaks for 2θ = 10–80°, in order of falling intensity:
| d [Å] | I_rel |
| --- | --- |
| 2.146 | 100 |
| 2.202 | 36 |
| 2.478 | 13 |
| 1.464 | 12 |
| 1.209 | 12 |
| 1.239 | 10 |
| 2.566 | 8 |
| 1.622 | 7 |
| 1.415 | 6 |
| 1.229 | 4 |

```
Na5B7C3
1.0
8.954 -1.415 0.000
8.954 1.415 0.000
-5.282 0.000 12.294
Na B C
10 14 6
Cartesian
0.000 0.000 0.000
-2.585 0.000 6.114
1.475 0.000 4.920
-1.120 0.000 11.051
2.926 0.000 9.842
5.609 0.000 3.686
9.690 0.000 2.463
7.146 0.000 8.556
11.134 0.000 7.379
13.834 0.000 1.241
-3.759 0.000 9.765
-0.110 0.000 7.008
2.585 0.000 1.101
0.429 0.000 8.775
3.058 0.000 2.696
1.412 0.000 12.150
4.538 0.000 7.548
8.110 0.000 4.617
5.486 0.000 10.788
11.231 0.000 0.059
12.299 0.000 3.656
9.677 0.000 9.784
12.804 0.000 5.305
16.349 0.000 2.234
-1.086 0.000 3.837
4.073 0.000 6.022
7.162 0.000 1.448
8.602 0.000 6.223
10.135 0.000 11.351
13.722 0.000 8.291
```